[1]
Cd7P10: computed powder diffraction line list (CuKα), based on the GGA-PBE geometry in OQMD.

Structure:
Cell lengths 14.0299, 11.7955, 18.0325 Å; angles 51.04, 40.83, 88.13 degrees
Fractional coordinates of all 34 atoms:
Cd 0.0000 0.0000 0.0000
Cd 0.1827 0.2549 0.9826
Cd 0.2500 0.2500 0.2500
Cd 0.2549 0.1827 0.5798
Cd 0.2674 0.6702 0.0673
Cd 0.3198 0.7294 0.2769
Cd 0.4208 0.7619 0.5036
Cd 0.5761 0.9731 0.5206
Cd 0.6702 0.2674 0.9951
Cd 0.7294 0.3198 0.6739
Cd 0.7464 0.9363 0.8292
Cd 0.7619 0.4208 0.3137
Cd 0.9363 0.7464 0.4881
Cd 0.9731 0.5761 0.9302
P 0.1350 0.4717 0.3617
P 0.2184 0.8883 0.7783
P 0.2685 0.4699 0.6030
P 0.3144 0.5149 0.9172
P 0.3149 0.9657 0.4460
P 0.3328 0.9964 0.9356
P 0.4699 0.2685 0.6587
P 0.4717 0.1350 0.0316
P 0.5149 0.3144 0.2536
P 0.5913 0.6470 0.7801
P 0.6152 0.6581 0.2576
P 0.6470 0.5913 0.9815
P 0.6581 0.6152 0.4692
P 0.7808 0.9924 0.5919
P 0.8040 0.9767 0.9351
P 0.8883 0.2184 0.1150
P 0.9657 0.3149 0.2733
P 0.9767 0.8040 0.2843
P 0.9924 0.7808 0.6348
P 0.9964 0.3328 0.7351

Peak list (10 most intense, 2θ from 10° to 80°, by intensity)
d [Å], I/Imax
3.089, 100
3.655, 52
3.314, 39
2.986, 36
2.891, 35
3.518, 34
1.876, 27
3.232, 24
2.129, 23
2.524, 23

[2]
CdP: computed powder diffraction line list (CuKα), based on the GGA-PBE geometry in OQMD.

Structure:
Cell lengths 5.4542, 3.4098, 8.5891 Å; angles 90.00, 90.00, 90.00 degrees
Fractional coordinates of all 8 atoms:
Cd 0.0000 0.0000 0.0000
Cd 0.2500 0.5000 0.2466
Cd 0.5000 0.0000 0.0000
Cd 0.7500 0.5000 0.7534
P 0.2500 0.0000 0.5158
P 0.2500 0.5000 0.6899
P 0.7500 0.0000 0.4842
P 0.7500 0.5000 0.3101

Peak list (10 most intense, 2θ from 10° to 80°, by intensity)
d [Å], I/Imax
2.670, 100
8.589, 49
2.302, 40
2.130, 34
4.604, 33
2.599, 28
2.147, 22
2.067, 22
2.740, 21
3.169, 17

[3]
Cd2SiP4Pb: computed powder diffraction line list (CuKα), based on the GGA-PBE geometry in OQMD.

Structure:
Cell lengths 7.0095, 7.0095, 7.0095 Å; angles 130.46, 130.46, 72.68 degrees
Fractional coordinates of all 8 atoms:
Cd 0.0000 0.0000 0.0000
Cd 0.7500 0.2500 0.5000
Si 0.2500 0.7500 0.5000
P 0.1321 0.6415 0.0486
P 0.3585 0.4071 0.4906
P 0.5929 0.0834 0.9514
P 0.9166 0.8679 0.5094
Pb 0.5000 0.5000 0.0000

Peak list (10 most intense, 2θ from 10° to 80°, by intensity)
d [Å], I/Imax
3.346, 100
2.035, 35
1.765, 31
2.077, 19
2.937, 18
1.714, 16
5.211, 14
1.322, 13
4.154, 10
2.606, 8